Computed X-ray powder pattern
Compound: LiTl2InCl4
Radiation: Cu Kα
Structure: a structure optimized by DFT (GGA-PBE)
Neutral-atom scattering factors, no anomalous dispersion.

The 10 most intense peaks (10 to 90 degrees two-theta), in order of falling intensity:
| 2θ/deg | I (rel.) |
| --- | --- |
| 28.55 | 100 |
| 41.01 | 64 |
| 24.58 | 47 |
| 24.88 | 46 |
| 28.82 | 42 |
| 12.37 | 40 |
| 48.56 | 29 |
| 23.79 | 28 |
| 31.22 | 24 |
| 23.49 | 23 |

Cell and atoms:
```
LiTl2InCl4
1.0
6.251 -6.196 0.000
6.251 6.196 0.000
-6.137 0.000 6.258
Li Tl In Cl
2 4 2 8
direct
0.000 0.500 0.000 Li
0.500 0.000 0.500 Li
0.000 0.000 0.000 Tl
0.000 0.000 0.500 Tl
0.000 0.500 0.500 Tl
0.500 0.000 0.000 Tl
0.500 0.500 0.000 In
0.500 0.500 0.500 In
0.204 0.299 0.002 Cl
0.251 0.748 0.014 Cl
0.252 0.749 0.486 Cl
0.299 0.204 0.502 Cl
0.701 0.796 0.498 Cl
0.748 0.251 0.514 Cl
0.749 0.252 0.986 Cl
0.796 0.701 0.998 Cl
```